Entry 1:
Sr2LaSnTe: computed PXRD pattern (Cu Ka), based on a structure optimized by DFT (GGA-PBE).

```
data_Sr2LaSnTe
_chemical_formula_sum 'Sr2 La1 Sn1 Te1'
_space_group_name_H-M_alt 'P 4/m m m'
_space_group_IT_number 123
_space_group_name_Hall '-P 4 2'
_cell_length_a 6.1900
_cell_length_b 6.1900
_cell_length_c 6.2147
_cell_angle_alpha 90.00
_cell_angle_beta 90.00
_cell_angle_gamma 90.00
loop_
_atom_site_label
_atom_site_fract_x
_atom_site_fract_y
_atom_site_fract_z
Sr1 0.0000 0.5000 0.0000
La1 0.0000 0.0000 0.5000
Sn1 0.0000 0.0000 0.0000
Te1 0.5000 0.5000 0.5000
```

Peak list (8 most intense, 5° ≤ 2θ ≤ 70°, by angle)
h k l  2θ (°)  d [Å]  I/Imax
1 0 0  14.31  6.191  27
1 1 0  20.27  4.380  43
1 1 1  24.88  3.579  82
0 0 2  28.73  3.107  44
2 0 0  28.85  3.095  87
2 2 0  41.19  2.191  100
2 2 2  51.04  1.789  36
4 2 0  67.66  1.385  31

Entry 2:
Pa4Si8Ru: computed PXRD pattern (Cu Ka), based on a structure optimized by DFT (GGA-PBE).

```
data_Pa4Si8Ru
_chemical_formula_sum 'Pa4 Si8 Ru1'
_space_group_name_H-M_alt 'P m m 2'
_space_group_IT_number 25
_space_group_name_Hall 'P 2 -2'
_cell_length_a 3.9250
_cell_length_b 3.9660
_cell_length_c 16.1513
_cell_angle_alpha 90.00
_cell_angle_beta 90.00
_cell_angle_gamma 90.00
loop_
_atom_site_label
_atom_site_fract_x
_atom_site_fract_y
_atom_site_fract_z
Pa1 0.0000 0.0000 0.0000
Pa2 0.0000 0.5000 0.4896
Pa3 0.5000 0.0000 0.7856
Pa4 0.5000 0.5000 0.2782
Si1 0.0000 0.0000 0.3372
Si2 0.0000 0.0000 0.6222
Si3 0.0000 0.5000 0.1392
Si4 0.0000 0.5000 0.8544
Si5 0.5000 0.0000 0.1391
Si6 0.5000 0.0000 0.4254
Si7 0.5000 0.5000 0.6216
Si8 0.5000 0.5000 0.9381
Ru1 0.0000 0.5000 0.7076
```

Peak list (8 most intense, 5° ≤ 2θ ≤ 70°, by angle)
h k l  2θ (°)  d [Å]  I/Imax
0 0 4  22.01  4.038  38
0 1 1  23.09  3.852  49
1 0 2  25.23  3.530  70
1 1 1  32.57  2.749  44
0 1 5  35.85  2.505  51
1 1 3  36.27  2.477  100
1 0 6  40.64  2.220  27
2 1 5  59.87  1.545  24

Entry 3:
Nd4SmDy4: computed PXRD pattern (Cu Ka), based on a structure optimized by DFT (GGA-PBE).

```
data_Nd4SmDy4
_chemical_formula_sum 'Nd8 Sm2 Dy8'
_space_group_name_H-M_alt 'I 4/m m m'
_space_group_IT_number 139
_space_group_name_Hall '-I 4 2'
_cell_length_a 10.8463
_cell_length_b 10.8463
_cell_length_c 5.1050
_cell_angle_alpha 90.00
_cell_angle_beta 90.00
_cell_angle_gamma 90.00
loop_
_atom_site_label
_atom_site_fract_x
_atom_site_fract_y
_atom_site_fract_z
Nd1 0.1672 0.1672 0.0000
Sm1 0.0000 0.0000 0.5000
Dy1 0.0000 0.3354 0.5000
```

Peak list (5 most intense, 5° ≤ 2θ ≤ 70°, by angle)
h k l  2θ (°)  d [Å]  I/Imax
3 0 1  30.29  2.950  100
3 3 0  35.12  2.555  51
6 0 0  50.51  1.807  36
6 3 1  60.04  1.541  43
6 0 2  63.01  1.475  12

Entry 4:
Tb5SbTe5: computed PXRD pattern (Cu Ka), based on a structure optimized by DFT (GGA-PBE).

```
data_Tb5SbTe5
_chemical_formula_sum 'Tb10 Sb2 Te10'
_space_group_name_H-M_alt 'C 1 2/m 1'
_space_group_IT_number 12
_space_group_name_Hall '-C 2y'
_cell_length_a 13.7645
_cell_length_b 6.1993
_cell_length_c 8.7104
_cell_angle_alpha 90.00
_cell_angle_beta 108.44
_cell_angle_gamma 90.00
loop_
_atom_site_label
_atom_site_fract_x
_atom_site_fract_y
_atom_site_fract_z
Tb1 0.0000 0.0000 0.0000
Tb2 0.1631 0.5000 0.3317
Tb3 0.1640 0.5000 0.8318
Sb1 0.0000 0.5000 0.0000
Te1 0.0000 0.5000 0.5000
Te2 0.1642 0.0000 0.3373
Te3 0.1653 0.0000 0.8280
```

Peak list (8 most intense, 5° ≤ 2θ ≤ 70°, by angle)
h k l  2θ (°)  d [Å]  I/Imax
0 2 0  28.80  3.100  51
2 0 2  29.00  3.079  100
2 2 2  41.33  2.184  77
2 0 -4  41.48  2.177  38
2 2 -4  51.28  1.781  41
4 0 4  60.11  1.539  13
2 4 2  67.68  1.384  18
4 2 4  68.03  1.378  26

Entry 5:
H2Pd5Au5: computed PXRD pattern (Cu Ka), based on a structure optimized by DFT (GGA-PBE).

```
data_H2Pd5Au5
_chemical_formula_sum 'H4 Pd10 Au10'
_space_group_name_H-M_alt 'C 1 2/m 1'
_space_group_IT_number 12
_space_group_name_Hall '-C 2y'
_cell_length_a 12.6117
_cell_length_b 2.9185
_cell_length_c 9.6322
_cell_angle_alpha 90.00
_cell_angle_beta 101.65
_cell_angle_gamma 90.00
loop_
_atom_site_label
_atom_site_fract_x
_atom_site_fract_y
_atom_site_fract_z
H1 0.0238 0.0000 0.3194
Pd1 0.0000 0.0000 0.5000
Pd2 0.1028 0.0000 0.8046
Pd3 0.1063 0.5000 0.2983
Au1 0.0000 0.5000 0.0000
Au2 0.1960 0.5000 0.5993
Au3 0.2013 0.0000 0.1010
```

Peak list (8 most intense, 5° ≤ 2θ ≤ 70°, by angle)
h k l  2θ (°)  d [Å]  I/Imax
3 1 -1  37.89  2.375  100
2 0 -4  37.99  2.368  33
1 1 3  43.94  2.061  45
6 0 -2  44.31  2.044  21
0 2 0  63.78  1.459  7
2 0 6  63.99  1.455  7
7 1 1  64.12  1.452  14
5 1 -5  64.23  1.450  14

Entry 6:
Dy3Y2Ag2: computed PXRD pattern (Cu Ka), based on a structure optimized by DFT (GGA-PBE).

```
data_Dy3Y2Ag2
_chemical_formula_sum 'Dy6 Y4 Ag4'
_space_group_name_H-M_alt 'I 4/m m m'
_space_group_IT_number 139
_space_group_name_Hall '-I 4 2'
_cell_length_a 3.6028
_cell_length_b 3.6028
_cell_length_c 29.7562
_cell_angle_alpha 90.00
_cell_angle_beta 90.00
_cell_angle_gamma 90.00
loop_
_atom_site_label
_atom_site_fract_x
_atom_site_fract_y
_atom_site_fract_z
Dy1 0.0000 0.0000 0.0000
Dy2 0.0000 0.0000 0.1236
Y1 0.0000 0.0000 0.2921
Ag1 0.0000 0.0000 0.4384
```

Peak list (8 most intense, 5° ≤ 2θ ≤ 70°, by angle)
h k l  2θ (°)  d [Å]  I/Imax
0 0 2  5.94  14.878  55
1 0 7  32.58  2.748  100
1 1 0  35.23  2.548  56
1 0 9  36.90  2.436  30
2 0 0  50.68  1.801  20
2 1 7  61.55  1.507  31
1 1 16  61.76  1.502  11
2 1 9  64.32  1.448  12

Entry 7:
ZnC2N8O4: computed PXRD pattern (Cu Ka), based on a structure optimized by DFT (GGA-PBE).

```
data_ZnC2N8O4
_chemical_formula_sum 'Zn2 C4 N16 O8'
_space_group_name_H-M_alt 'P 1 21/c 1'
_space_group_IT_number 14
_space_group_name_Hall '-P 2ybc'
_cell_length_a 10.1738
_cell_length_b 8.2953
_cell_length_c 11.8117
_cell_angle_alpha 90.00
_cell_angle_beta 122.14
_cell_angle_gamma 90.00
loop_
_atom_site_label
_atom_site_fract_x
_atom_site_fract_y
_atom_site_fract_z
Zn1 0.0000 0.0000 0.0000
C1 0.1952 0.0176 0.5193
N1 0.2592 0.7300 0.3564
N2 0.2888 0.5998 0.3773
N3 0.3323 0.2050 0.2693
N4 0.3629 0.1673 0.3710
O1 0.0857 0.0838 0.4318
O2 0.3042 0.5489 0.1066
```

Peak list (8 most intense, 5° ≤ 2θ ≤ 70°, by angle)
h k l  2θ (°)  d [Å]  I/Imax
1 0 0  10.27  8.614  55
2 1 -1  20.59  4.314  82
1 2 0  23.81  3.737  67
1 0 2  24.89  3.577  80
2 1 -3  25.87  3.444  84
1 2 -2  26.27  3.392  83
0 2 2  27.95  3.192  80
3 1 -3  30.27  2.953  100